The following is a theoretical powder XRD pattern of Sr2InHg2Pd5. It was derived from the PBE geometry in Alexandria, using Cu Kα (λ = 1.5418 Å).
Intensities are scaled so that the largest is 100.

```
Sr2InHg2Pd5
1.0
10.4861 0.0000 0.0000
0.0000 10.4861 0.0000
0.0000 0.0000 3.9107
Sr In Hg Pd
4 2 4 10
Cartesian
1.7925 3.4505 0.0000
3.4505 8.6936 0.0000
7.0356 1.7925 0.0000
8.6936 7.0356 0.0000
0.0000 0.0000 0.0000
5.2431 5.2431 0.0000
1.3539 6.5970 0.0000
3.8891 1.3539 0.0000
6.5970 9.1322 0.0000
9.1322 3.8891 0.0000
0.0000 5.2431 1.9553
0.5942 8.4755 1.9553
2.0106 0.5942 1.9553
3.2324 5.8373 1.9553
4.6489 3.2324 1.9553
5.2431 0.0000 1.9553
5.8373 7.2537 1.9553
7.2537 4.6489 1.9553
8.4755 9.8919 1.9553
9.8919 2.0106 1.9553
```

Principal peaks in the range 10 to 90 degrees two-theta, low angle first:
2θ/deg, I (rel.)
18.92, 31
33.30, 13
35.29, 17
35.49, 100
36.35, 18
38.58, 39
41.47, 20
46.44, 20
49.15, 10
58.51, 10
60.36, 8
78.91, 10


The following is a theoretical powder XRD pattern of NdDy4Bi3. It was derived from the PBE geometry in Alexandria, using Cu Kα (λ = 1.5418 Å).
Intensities are scaled so that the largest is 100.

```
NdDy4Bi3
1.0
4.0384 0.0000 0.0000
0.0000 8.7069 0.0000
0.0000 0.0000 14.4573
Nd Dy Bi
2 8 6
Cartesian
0.0000 0.0000 0.0000
2.0192 4.3535 7.2287
0.0000 2.5858 1.9109
0.0000 2.5858 12.5465
0.0000 6.1212 1.9109
0.0000 6.1212 12.5465
2.0192 1.7677 5.3178
2.0192 1.7677 9.1395
2.0192 6.9392 5.3178
2.0192 6.9392 9.1395
0.0000 0.0000 7.2287
0.0000 4.3535 4.5936
0.0000 4.3535 9.8637
2.0192 0.0000 2.6350
2.0192 0.0000 11.8223
2.0192 4.3535 0.0000
```

Principal peaks in the range 10 to 90 degrees two-theta, low angle first:
2θ/deg, I (rel.)
27.29, 100
30.83, 63
32.19, 54
34.87, 45
35.59, 70
36.13, 43
38.26, 38
40.25, 30
44.89, 32
56.31, 22
63.63, 25
65.04, 32